Simulated XRD peak list
Compound: Li2Ag7Sb2Pd
Radiation: Cu Kα (λ = 1.5418 Å)
Structure: a PBE-relaxed structure

Atomic structure:
Cell lengths 5.9150, 5.9389, 12.9333 Å; angles 90.00, 90.00, 90.00 degrees
Space group Cmmm (No. 65)
Inequivalent atoms, fractional coordinates:
Li 0.0000 0.0000 0.1863 [4 per cell]
Ag 0.0000 0.0000 0.5000 [2 per cell]
Ag 0.2455 0.0000 0.0000 [4 per cell]
Ag 0.2500 0.2500 0.3464 [8 per cell]
Sb 0.0000 0.5000 0.1928 [4 per cell]
Pd 0.0000 0.5000 0.5000 [2 per cell]

Peak list (8 most intense, 10° ≤ 2θ ≤ 90°, by intensity)
- hkl 2 0 3, 36.86°, intensity 1000
- hkl 0 2 4, 41.30°, intensity 473
- hkl 2 2 1, 43.76°, intensity 373
- hkl 0 2 3, 36.75°, intensity 354
- hkl 0 0 6, 41.91°, intensity 274
- hkl 2 2 7, 67.60°, intensity 253
- hkl 2 2 0, 43.17°, intensity 253
- hkl 2 4 3, 74.87°, intensity 234